Record 1
This entry pairs a crystal structure of Sc2Ga8Co with its computed X-ray powder pattern. Radiation: copper Kα. Structure: a GGA-PBE-relaxed structure.
No peak broadening, texture or thermal motion is included.

Principal peaks in the range 2θ = 10–80°, most intense first:
2θ 39.8, intensity 100, hkl 1 1 3; 2θ 43.7, intensity 56, hkl 2 0 0; 2θ 34.9, intensity 30, hkl 1 1 2; 2θ 77.6, intensity 28, hkl 3 1 3; 2θ 62.3, intensity 20, hkl 2 0 5; 2θ 63.5, intensity 17, hkl 2 2 0; 2θ 42.2, intensity 17, hkl 0 0 5; 2θ 78.5, intensity 12, hkl 1 1 8; 2θ 45.9, intensity 11, hkl 1 1 4; 2θ 79.2, intensity 10, hkl 2 2 5; 2θ 27.2, intensity 9, hkl 1 0 2; 2θ 23.0, intensity 7, hkl 1 0 1

Cell and atoms:
a = 4.1432 Å, b = 4.1432 Å, c = 10.7182 Å
α = 90.00°, β = 90.00°, γ = 90.00°
Space group P4/mmm (No. 123)
Symmetry-distinct sites (fractional):
Sc (0.0000, 0.0000, 0.1921) x2
Ga (0.0000, 0.5000, 0.0000) x2
Ga (0.0000, 0.5000, 0.3786) x4
Ga (0.5000, 0.5000, 0.1946) x2
Co (0.0000, 0.0000, 0.5000) x1

Record 2
This entry pairs a crystal structure of Sm3GaCoSe7 with its computed X-ray powder pattern. Radiation: copper Kα. Structure: a GGA-PBE-relaxed structure.
No peak broadening, texture or thermal motion is included.

Principal peaks in the range 2θ = 10–80°, most intense first:
2θ 24.5, intensity 100, hkl 2 0 1; 2θ 34.4, intensity 97, hkl 2 0 2; 2θ 33.5, intensity 95, hkl 3 0 1; 2θ 35.3, intensity 92, hkl 2 2 0; 2θ 30.2, intensity 78, hkl 2 1 1; 2θ 47.0, intensity 48, hkl 2 0 3; 2θ 39.4, intensity 43, hkl 1 3 1; 2θ 38.8, intensity 41, hkl 2 1 2; 2θ 43.4, intensity 39, hkl 4 0 1; 2θ 29.4, intensity 31, hkl 1 0 2; 2θ 32.8, intensity 30, hkl 1 1 2; 2θ 17.0, intensity 30, hkl 1 0 1

Cell and atoms:
a = 10.1699 Å, b = 10.1699 Å, c = 6.4617 Å
α = 90.00°, β = 90.00°, γ = 120.00°
Space group P6_3 (No. 173)
Symmetry-distinct sites (fractional):
Sm (0.1580, 0.7850, 0.0000) x6
Ga (0.3333, 0.6667, 0.4212) x2
Co (0.0000, 0.0000, 0.3250) x2
Se (0.0832, 0.5201, 0.2720) x6
Se (0.0968, 0.8721, 0.5811) x6
Se (0.3333, 0.6667, 0.7923) x2

Record 3
This entry pairs a crystal structure of Ti4GaCo2Si with its computed X-ray powder pattern. Radiation: copper Kα. Structure: a GGA-PBE-relaxed structure.
No peak broadening, texture or thermal motion is included.

Principal peaks in the range 2θ = 10–80°, most intense first:
2θ 42.0, intensity 100, hkl 1 1 0; 2θ 76.8, intensity 29, hkl 3 0 0; 2θ 61.0, intensity 15, hkl 2 0 8; 2θ 12.6, intensity 2, hkl 0 0 3; 2θ 24.3, intensity 2, hkl 1 0 1; 2θ 32.1, intensity 2, hkl 0 1 5; 2θ 38.5, intensity 1, hkl 1 0 7; 2θ 25.4, intensity 1, hkl 0 1 2; 2θ 44.0, intensity 1, hkl 1 1 3; 2θ 49.7, intensity 1, hkl 2 0 2; 2θ 58.3, intensity 1, hkl 0 2 7; 2θ 53.8, intensity 1, hkl 2 0 5

Cell and atoms:
a = 4.3003 Å, b = 4.3003 Å, c = 21.0491 Å
α = 90.00°, β = 90.00°, γ = 120.00°
Space group R3m (No. 160, hexagonal axes)
Symmetry-distinct sites (fractional):
Ti (0.0000, 0.0000, 0.0000) x3
Ti (0.0000, 0.0000, 0.1239) x3
Ti (0.0000, 0.0000, 0.4985) x3
Ti (0.0000, 0.0000, 0.6247) x3
Ga (0.0000, 0.0000, 0.8746) x3
Co (0.0000, 0.0000, 0.2526) x3
Co (0.0000, 0.0000, 0.7461) x3
Si (0.0000, 0.0000, 0.3736) x3

Record 4
This entry pairs a crystal structure of Ti8GaCo4Si3 with its computed X-ray powder pattern. Radiation: copper Kα. Structure: a GGA-PBE-relaxed structure.
No peak broadening, texture or thermal motion is included.

Principal peaks in the range 2θ = 10–80°, most intense first:
2θ 42.3, intensity 100, hkl 1 1 0; 2θ 42.4, intensity 98, hkl 1 0 16; 2θ 61.4, intensity 30, hkl 0 2 16; 2θ 77.4, intensity 29, hkl 2 1 16; 2θ 77.3, intensity 15, hkl 3 0 0; 2θ 77.7, intensity 14, hkl 0 1 32; 2θ 29.6, intensity 4, hkl 0 1 8; 2θ 25.5, intensity 3, hkl 1 0 4; 2θ 24.1, intensity 1, hkl 1 0 1; 2θ 50.1, intensity 1, hkl 0 2 4; 2θ 12.7, intensity 1, hkl 0 0 6; 2θ 24.4, intensity 1, hkl 0 1 2

Cell and atoms:
a = 4.2779 Å, b = 4.2779 Å, c = 41.6931 Å
α = 90.00°, β = 90.00°, γ = 120.00°
Space group R3m (No. 160, hexagonal axes)
Symmetry-distinct sites (fractional):
Ti (0.0000, 0.0000, 0.0000) x3
Ti (0.0000, 0.0000, 0.0621) x3
Ti (0.0000, 0.0000, 0.2488) x3
Ti (0.0000, 0.0000, 0.3121) x3
Ti (0.0000, 0.0000, 0.4990) x3
Ti (0.0000, 0.0000, 0.5617) x3
Ti (0.0000, 0.0000, 0.7493) x3
Ti (0.0000, 0.0000, 0.8119) x3
Ga (0.0000, 0.0000, 0.9371) x3
Co (0.0000, 0.0000, 0.1245) x3
Co (0.0000, 0.0000, 0.3747) x3
Co (0.0000, 0.0000, 0.6263) x3
Co (0.0000, 0.0000, 0.8727) x3
Si (0.0000, 0.0000, 0.1862) x3
Si (0.0000, 0.0000, 0.4365) x3
Si (0.0000, 0.0000, 0.6869) x3